[1]
For Fe4O5F3, a GGA+U-relaxed structure gives the calculated X-ray diffraction stick pattern in this record (λ = 1.5418 Å (Cu Kα)).

Largest 8 diffraction maxima, low angle first, 2θ = 5–70°:
Position (°2θ)  intensity
25.07  100
28.02  85
35.42  86
37.94  18
51.20  61
51.45  16
54.51  46
66.91  38

Structure:
```
24
Lattice="3.185 -3.552 0.000 3.185 3.552 0.000 0.000 0.000 11.992" Properties=species:S:1:pos:R:3 pbc="T T T"
Fe 0.000 0.000 0.000
Fe 0.000 0.000 5.996
Fe 3.185 3.393 8.994
Fe 3.185 0.077 7.551
Fe 3.185 0.077 10.437
Fe 3.185 -0.077 1.555
Fe 3.185 -0.077 4.441
Fe 3.185 -3.393 2.998
O 1.221 0.019 1.457
O 1.221 0.019 4.539
O 1.221 -0.019 7.453
O 1.221 -0.019 10.535
O 3.185 1.308 8.994
O 3.185 -1.308 2.998
O 5.149 0.019 1.457
O 5.149 0.019 4.539
O 5.149 -0.019 7.453
O 5.149 -0.019 10.535
F 3.185 1.354 2.998
F 3.185 1.339 0.032
F 3.185 1.339 5.964
F 3.185 -1.339 6.028
F 3.185 -1.339 11.960
F 3.185 -1.354 8.994
```

---

[2]
For Li2VFeP2H2O10, a GGA+U-relaxed structure gives the calculated X-ray diffraction stick pattern in this record (λ = 1.5418 Å (Cu Kα)).

Largest 8 diffraction maxima, low angle first, 2θ = 5–70°:
Position (°2θ)  intensity
17.50  33
18.79  37
25.48  27
26.46  60
26.80  100
28.90  72
35.75  31
54.32  27

Structure:
```
18
Lattice="5.163 0.000 0.000 -0.755 5.395 0.000 -2.418 -2.397 6.568" Properties=species:S:1:pos:R:3 pbc="T T T"
Li 0.182 1.354 2.141
Li 1.808 1.644 4.427
V 2.581 0.000 0.000
Fe 1.372 -1.198 3.284
P -1.136 0.189 4.788
P 3.126 2.809 1.780
H -0.375 4.679 1.049
H 2.365 -1.680 5.519
O -0.920 3.036 2.838
O -1.544 1.496 5.502
O -1.104 -1.023 5.752
O 1.169 -0.277 1.463
O 0.232 0.356 4.053
O 1.757 2.643 2.516
O 0.821 3.276 5.105
O 3.094 4.022 0.817
O 3.534 1.502 1.067
O 2.910 -0.037 3.730
```